[1]
Theoretical powder X-ray diffraction pattern
Compound: CeY4Er10
Radiation: Cu Ka
Structure: a PBE-relaxed structure
Neutral-atom scattering factors, no anomalous dispersion.

Main lines, most intense first (2θ = 15–90°):
2θ (°)	Rel. int.	index
32.3	100	4 0 0
32.2	81	2 2 2
41.5	74	3 3 2
34.2	56	3 1 2
31.2	47	3 2 1
27.8	38	2 0 2
22.5	36	0 0 2
68.8	35	7 3 2

a = 11.075 Å, b = 11.075 Å, c = 7.890 Å
α = 90.00°, β = 90.00°, γ = 90.00°
Space group I4/mmm (No. 139)
Unique sites:
Ce: 0.000 0.000 0.000
Y: 0.228 0.228 0.000
Er: 0.000 0.207 0.294
Er: 0.000 0.500 0.250



[2]
Theoretical powder X-ray diffraction pattern
Compound: CeY7Er3
Radiation: Cu Ka
Structure: a PBE-relaxed structure
Neutral-atom scattering factors, no anomalous dispersion.

Main lines, most intense first (2θ = 15–90°):
2θ (°)	Rel. int.	index
32.0	100	0 0 4
33.1	41	0 6 2
32.4	30	2 4 0
46.2	19	2 4 -4
59.0	17	2 10 -2
18.5	15	0 2 2
57.1	13	2 2 -6
64.2	12	4 6 -2

a = 6.880 Å, b = 18.543 Å, c = 11.170 Å
α = 90.00°, β = 90.07°, γ = 90.00°
Space group C2/m (No. 12)
Unique sites:
Ce: 0.000 0.000 0.000
Ce: 0.000 0.500 0.500
Y: 0.249 0.000 0.750
Y: 0.249 0.161 0.967
Y: 0.249 0.339 0.467
Y: 0.249 0.411 0.750
Er: 0.000 0.000 0.500
Er: 0.000 0.250 0.250
Er: 0.000 0.500 0.000



[3]
Theoretical powder X-ray diffraction pattern
Compound: Ce2Y8Er3
Radiation: Cu Ka
Structure: a PBE-relaxed structure
Neutral-atom scattering factors, no anomalous dispersion.

Main lines, most intense first (2θ = 15–90°):
2θ (°)	Rel. int.	index
31.8	100	1 4 1
31.6	93	3 5 0
34.9	82	3 1 1
30.2	81	2 1 1
31.1	56	1 7 0
36.6	44	0 6 1
33.5	42	4 3 0
32.0	33	4 2 0

a = 11.599 Å, b = 20.764 Å, c = 3.491 Å
α = 90.00°, β = 90.00°, γ = 90.00°
Space group Pbam (No. 55)
Unique sites:
Ce: 0.179 0.095 0.000
Y: 0.046 0.839 0.500
Y: 0.048 0.572 0.000
Y: 0.124 0.288 0.000
Y: 0.211 0.447 0.500
Er: 0.000 0.000 0.500
Er: 0.155 0.700 0.500



[4]
Theoretical powder X-ray diffraction pattern
Compound: Ce2Y2Er5
Radiation: Cu Ka
Structure: a PBE-relaxed structure
Neutral-atom scattering factors, no anomalous dispersion.

Main lines, most intense first (2θ = 15–90°):
2θ (°)	Rel. int.	index
31.9	100	0 2 0
32.1	59	1 1 -2
31.5	21	4 0 1
56.9	17	5 3 -1
57.4	16	6 2 -3
45.5	16	4 2 1
46.4	14	6 0 -3
57.0	12	1 3 -2

a = 16.397 Å, b = 5.611 Å, c = 6.496 Å
α = 90.00°, β = 110.26°, γ = 90.00°
Space group C2/m (No. 12)
Unique sites:
Ce: 0.078 0.000 0.489
Y: 0.063 0.500 0.783
Er: 0.000 0.000 0.000
Er: 0.181 0.500 0.356
Er: 0.207 0.000 0.060



[5]
Theoretical powder X-ray diffraction pattern
Compound: Ce2YEr
Radiation: Cu Ka
Structure: a PBE-relaxed structure
Neutral-atom scattering factors, no anomalous dispersion.

Main lines, most intense first (2θ = 15–90°):
2θ (°)	Rel. int.	index
31.8	100	0 2 2
31.3	33	0 0 2
27.9	23	2 0 0
34.4	20	1 0 2
32.7	18	-2 1 1
30.4	17	1 1 2
43.6	15	-2 2 2
50.7	12	3 1 -1

a = 6.394 Å, b = 6.477 Å, c = 6.568 Å
α = 60.47°, β = 88.73°, γ = 87.75°
Space group P-1 (No. 2)
Unique sites:
Ce: 0.213 0.487 0.466
Ce: 0.286 0.052 0.466
Y: 0.000 0.000 0.000
Y: 0.500 0.000 0.000
Er: 0.250 0.537 0.925



[6]
Theoretical powder X-ray diffraction pattern
Compound: CeYEr5
Radiation: Cu Ka
Structure: a PBE-relaxed structure
Neutral-atom scattering factors, no anomalous dispersion.

Main lines, most intense first (2θ = 15–90°):
2θ (°)	Rel. int.	index
32.4	100	1 3 1
32.9	95	2 2 -3
32.0	47	2 0 2
32.6	43	3 1 -2
58.1	24	0 6 0
46.8	16	0 2 5
46.3	15	4 2 -1
46.9	14	2 4 -3

a = 8.738 Å, b = 9.529 Å, c = 11.372 Å
α = 90.00°, β = 110.82°, γ = 90.00°
Space group C2/c (No. 15)
Unique sites:
Ce: 0.250 0.250 0.000
Y: 0.000 0.242 0.250
Er: 0.000 0.410 0.750
Er: 0.124 0.072 0.664
Er: 0.170 0.401 0.535



[7]
Theoretical powder X-ray diffraction pattern
Compound: CeY8Er3
Radiation: Cu Ka
Structure: a PBE-relaxed structure
Neutral-atom scattering factors, no anomalous dispersion.

Main lines, most intense first (2θ = 15–90°):
2θ (°)	Rel. int.	index
36.5	100	3 1 2
21.3	65	1 1 2
29.3	65	2 2 0
31.3	44	0 0 4
43.4	37	2 2 4
56.8	29	5 1 2
59.1	28	3 1 6
24.4	28	2 1 1

a = 8.622 Å, b = 8.622 Å, c = 11.435 Å
α = 90.00°, β = 90.00°, γ = 90.00°
Space group I-42m (No. 121)
Unique sites:
Ce: 0.000 0.000 0.000
Y: 0.126 0.126 0.237
Y: 0.233 0.233 0.971
Er: 0.000 0.000 0.500
Er: 0.000 0.500 0.250



[8]
Theoretical powder X-ray diffraction pattern
Compound: CeY5Er12
Radiation: Cu Ka
Structure: a PBE-relaxed structure
Neutral-atom scattering factors, no anomalous dispersion.

Main lines, most intense first (2θ = 15–90°):
2θ (°)	Rel. int.	index
31.0	100	3 3 1
36.0	50	6 0 0
61.6	42	3 9 1
51.8	36	6 6 0
84.6	18	9 3 3
64.7	12	6 6 2
87.3	11	6 0 4
87.5	5	12 6 0

a = 14.957 Å, b = 14.986 Å, c = 4.992 Å
α = 90.00°, β = 90.00°, γ = 90.00°
Space group Cmmm (No. 65)
Unique sites:
Ce: 0.000 0.000 0.000
Y: 0.000 0.165 0.500
Y: 0.000 0.333 0.000
Y: 0.000 0.500 0.500
Er: 0.166 0.000 0.500
Er: 0.167 0.334 0.500
Er: 0.168 0.167 0.000
Er: 0.168 0.500 0.000



[9]
Theoretical powder X-ray diffraction pattern
Compound: Ce3ErZn4
Radiation: Cu Ka
Structure: a PBE-relaxed structure
Neutral-atom scattering factors, no anomalous dispersion.

Main lines, most intense first (2θ = 15–90°):
2θ (°)	Rel. int.	index
35.2	100	4 0 0
63.2	35	6 2 1
50.7	18	4 0 2
24.7	15	0 2 0
74.5	11	8 0 0
85.1	10	8 0 2
57.2	6	2 4 1
85.3	5	2 6 1

a = 10.193 Å, b = 7.198 Å, c = 5.097 Å
α = 90.00°, β = 90.00°, γ = 90.00°
Space group Pmma (No. 51)
Unique sites:
Ce: 0.000 0.000 0.000
Ce: 0.250 0.000 0.498
Ce: 0.250 0.500 0.498
Er: 0.000 0.500 0.000
Zn: 0.000 0.260 0.500
Zn: 0.250 0.260 0.998



[10]
Theoretical powder X-ray diffraction pattern
Compound: Ce3Eu
Radiation: Cu Ka
Structure: a PBE-relaxed structure
Neutral-atom scattering factors, no anomalous dispersion.

Main lines, most intense first (2θ = 15–90°):
2θ (°)	Rel. int.	index
31.7	100	1 1 2
36.8	50	2 0 0
63.1	41	3 1 2
53.0	35	2 2 0
86.9	18	3 3 2
89.8	17	4 2 0
66.3	12	2 2 4
78.3	6	4 0 0

a = 4.886 Å, b = 4.886 Å, c = 9.774 Å
α = 90.00°, β = 90.00°, γ = 90.00°
Space group I4/mmm (No. 139)
Unique sites:
Ce: 0.000 0.000 0.000
Ce: 0.000 0.500 0.250
Eu: 0.000 0.000 0.500



[11]
Theoretical powder X-ray diffraction pattern
Compound: Ce3Eu
Radiation: Cu Ka
Structure: a PBE-relaxed structure
Neutral-atom scattering factors, no anomalous dispersion.

Main lines, most intense first (2θ = 15–90°):
2θ (°)	Rel. int.	index
34.1	100	1 1 1
33.2	56	0 1 2
31.6	45	0 2 0
30.1	29	1 0 1
44.2	24	1 2 1
57.9	22	1 3 1
62.3	18	1 2 3
65.0	16	2 1 2

a = 3.391 Å, b = 5.665 Å, c = 6.137 Å
α = 90.00°, β = 90.00°, γ = 90.00°
Space group Pmm2 (No. 25)
Unique sites:
Ce: 0.000 0.000 0.000
Ce: 0.000 0.500 0.286
Ce: 0.500 0.000 0.414
Eu: 0.500 0.500 0.764



[12]
Theoretical powder X-ray diffraction pattern
Compound: Ce5Eu
Radiation: Cu Ka
Structure: a PBE-relaxed structure
Neutral-atom scattering factors, no anomalous dispersion.

Main lines, most intense first (2θ = 15–90°):
2θ (°)	Rel. int.	index
32.2	100	1 3 1
53.8	35	2 0 2
37.3	33	0 0 2
64.2	27	3 3 1
37.4	17	2 0 0
64.0	13	1 9 1
67.3	12	2 6 2
88.4	11	3 9 1

a = 4.811 Å, b = 14.480 Å, c = 4.814 Å
α = 90.00°, β = 90.00°, γ = 90.00°
Space group Cmmm (No. 65)
Unique sites:
Ce: 0.000 0.000 0.000
Ce: 0.000 0.172 0.500
Ce: 0.000 0.330 0.000
Eu: 0.000 0.500 0.500